# 1
This entry pairs a crystal structure of GaPd with its computed X-ray diffraction stick pattern. Radiation: Cu Kα (λ = 1.5418 Å). Structure: a structure optimized by DFT (GGA-PBE).
Lines closer than 0.1° are merged.

The 12 most intense peaks (2θ from 15° to 90°), low angle first:
- d 4.062, I 5, hkl 0 0 3
- d 2.516, I 4, hkl 1 0 1
- d 2.369, I 100, hkl 0 1 2
- d 2.031, I 21, hkl 0 0 6
- d 1.965, I 57, hkl 1 0 4
- d 1.769, I 2, hkl 0 1 5
- d 1.484, I 22, hkl 1 1 0
- d 1.311, I 15, hkl 0 1 8
- d 1.258, I 13, hkl 2 0 2
- d 1.198, I 22, hkl 1 1 6
- d 1.184, I 10, hkl 0 2 4
- d 1.101, I 9, hkl 1 0 10

Unit cell a=2.9687 b=2.9687 c=12.1871 alpha=90.00 beta=90.00 gamma=120.00
Space group R-3m (No. 166, hexagonal axes)
Symmetry-distinct sites (fractional):
Ga (0.0000, 0.0000, 0.0000) x3
Pd (0.0000, 0.0000, 0.5000) x3

# 2
This entry pairs a crystal structure of YMgGa with its computed X-ray diffraction stick pattern. Radiation: Cu Kα (λ = 1.5418 Å). Structure: a structure optimized by DFT (GGA-PBE).
Lines closer than 0.1° are merged.

The 12 most intense peaks (2θ from 15° to 90°), low angle first:
- d 3.649, I 17, hkl 1 1 0
- d 3.160, I 19, hkl 2 0 0
- d 2.820, I 62, hkl 1 1 1
- d 2.575, I 100, hkl 2 0 1
- d 2.389, I 21, hkl 2 1 0
- d 2.221, I 25, hkl 0 0 2
- d 2.106, I 35, hkl 3 0 0
- d 1.753, I 12, hkl 3 1 0
- d 1.631, I 17, hkl 3 1 1
- d 1.529, I 12, hkl 3 0 2
- d 1.379, I 21, hkl 3 2 1
- d 1.341, I 12, hkl 2 0 3

Unit cell a=7.2988 b=7.2988 c=4.4417 alpha=90.00 beta=90.00 gamma=120.00
Space group P-62m (No. 189)
Symmetry-distinct sites (fractional):
Y (0.0000, 0.4261, 0.0000) x3
Mg (0.0000, 0.7564, 0.5000) x3
Ga (0.0000, 0.0000, 0.0000) x1
Ga (0.3333, 0.6667, 0.5000) x2

# 3
This entry pairs a crystal structure of Mg14CrGa with its computed X-ray diffraction stick pattern. Radiation: Cu Kα (λ = 1.5418 Å). Structure: a structure optimized by DFT (GGA-PBE).
Lines closer than 0.1° are merged.

The 12 most intense peaks (2θ from 15° to 90°), low angle first:
- d 5.418, I 5, hkl 0 0 2
- d 5.133, I 4, hkl 2 0 0
- d 4.791, I 7, hkl 1 0 2
- d 2.710, I 25, hkl 0 0 4
- d 2.621, I 4, hkl 1 0 4
- d 2.566, I 27, hkl 4 0 0
- d 2.397, I 100, hkl 2 2 2
- d 1.864, I 16, hkl 4 0 4
- d 1.565, I 17, hkl 0 4 0
- d 1.447, I 19, hkl 6 2 2
- d 1.336, I 19, hkl 4 4 0
- d 1.310, I 13, hkl 2 4 4

Unit cell a=10.266 b=6.263 c=10.835 alpha=90.00 beta=90.00 gamma=90.00
Space group Amm2 (No. 38)
Symmetry-distinct sites (fractional):
Mg (0.000, 0.000, 0.000) x2
Mg (0.000, 0.000, 0.500) x2
Mg (0.000, 0.250, 0.251) x4
Mg (0.252, 0.000, 0.165) x4
Mg (0.253, 0.000, 0.665) x4
Mg (0.258, 0.250, 0.419) x8
Mg (0.500, 0.249, 0.249) x4
Cr (0.500, 0.000, 0.001) x2
Ga (0.500, 0.000, 0.501) x2

# 4
This entry pairs a crystal structure of ThSi2Ni with its computed X-ray diffraction stick pattern. Radiation: Cu Kα (λ = 1.5418 Å). Structure: a structure optimized by DFT (GGA-PBE).
Lines closer than 0.1° are merged.

The 12 most intense peaks (2θ from 15° to 90°), low angle first:
- d 4.108, I 22, hkl 0 4 0
- d 4.037, I 23, hkl 1 1 0
- d 3.676, I 30, hkl 0 2 1
- d 2.905, I 15, hkl 0 4 1
- d 2.880, I 44, hkl 1 1 1
- d 2.580, I 100, hkl 1 5 0
- d 2.279, I 20, hkl 0 6 1
- d 2.082, I 17, hkl 2 0 0
- d 2.055, I 17, hkl 0 0 2
- d 1.837, I 16, hkl 0 8 1
- d 1.607, I 20, hkl 1 5 2
- d 1.297, I 13, hkl 1 9 2

Unit cell a=4.165 b=16.430 c=4.110 alpha=90.00 beta=90.00 gamma=90.00
Space group Cmcm (No. 63)
Symmetry-distinct sites (fractional):
Th (0.000, 0.106, 0.250) x4
Si (0.000, 0.249, 0.750) x4
Si (0.000, 0.461, 0.250) x4
Ni (0.000, 0.319, 0.250) x4